Record 1
Diffraction record for Y5Si2Sn2. The PXRD pattern is computed, not measured: it uses a cell relaxed with GGA-PBE and Cu Kα X-rays.
Intensities are scaled so that the largest is 100.

```
data_Y5Si2Sn2
_chemical_formula_sum 'Y20 Si8 Sn8'
_cell_length_a 15.2599
_cell_length_b 7.8462
_cell_length_c 7.8115
_cell_angle_alpha 90.00
_cell_angle_beta 90.00
_cell_angle_gamma 90.00
_symmetry_space_group_name_H-M 'C m c e'
_symmetry_Int_Tables_number 64
_symmetry_space_group_name_Hall '-C 2ac 2'
loop_
_atom_site_label
_atom_site_fract_x
_atom_site_fract_y
_atom_site_fract_z
Y1 0.0000 0.0000 0.0000
Y2 0.1281 0.1750 0.3264
Si1 0.0000 0.1216 0.6223
Sn1 0.2120 0.0000 0.0000
```

Peak list (12 most intense, 10° ≤ 2θ ≤ 90°, in order of rising 2θ)
index, 2theta, intensity
0 2 1, 25.41, 24
1 1 2, 26.15, 19
3 1 2, 31.04, 34
0 2 2, 32.34, 55
4 2 0, 32.78, 100
5 1 1, 33.53, 54
4 2 1, 34.75, 39
1 3 1, 36.71, 31
1 1 3, 36.84, 31
5 3 3, 58.45, 26
7 3 3, 66.37, 14
9 3 1, 66.88, 25

Record 2
Diffraction record for Pr2SmHoTm. The PXRD pattern is computed, not measured: it uses a cell relaxed with GGA-PBE and Cu Kα X-rays.
Intensities are scaled so that the largest is 100.

```
data_Pr2SmHoTm
_chemical_formula_sum 'Pr8 Sm4 Ho4 Tm4'
_cell_length_a 8.4901
_cell_length_b 11.5929
_cell_length_c 7.3283
_cell_angle_alpha 90.00
_cell_angle_beta 90.00
_cell_angle_gamma 90.00
_symmetry_space_group_name_H-M 'C m c m'
_symmetry_Int_Tables_number 63
_symmetry_space_group_name_Hall '-C 2c 2'
loop_
_atom_site_label
_atom_site_fract_x
_atom_site_fract_y
_atom_site_fract_z
Pr1 0.1952 0.0000 0.0000
Sm1 0.0000 0.2247 0.2500
Ho1 0.0000 0.2338 0.7500
Tm1 0.0000 0.4914 0.2500
```

Peak list (12 most intense, 10° ≤ 2θ ≤ 90°, in order of rising 2θ)
index, 2theta, intensity
2 0 0, 20.93, 20
2 2 0, 26.02, 45
1 1 2, 27.61, 31
0 2 2, 28.83, 48
0 4 0, 30.85, 59
2 0 2, 32.27, 100
3 1 0, 32.57, 28
1 3 2, 35.38, 46
3 3 0, 39.47, 33
2 4 2, 45.25, 69
0 4 4, 59.71, 18
3 7 0, 65.22, 28

Record 3
Diffraction record for SrSc2IO8. The PXRD pattern is computed, not measured: it uses a cell relaxed with GGA-PBE and Cu Kα X-rays.
Intensities are scaled so that the largest is 100.

```
data_SrSc2IO8
_chemical_formula_sum 'Sr1 Sc2 I1 O8'
_cell_length_a 4.8091
_cell_length_b 6.9576
_cell_length_c 4.8177
_cell_angle_alpha 90.00
_cell_angle_beta 90.75
_cell_angle_gamma 90.00
_symmetry_space_group_name_H-M 'P 1 2/m 1'
_symmetry_Int_Tables_number 10
loop_
_symmetry_equiv_pos_as_xyz
'x,y,z'
'-x,-y,-z'
'-x,y,-z'
'x,-y,z'
loop_
_atom_site_label
_atom_site_fract_x
_atom_site_fract_y
_atom_site_fract_z
Sr1 0.0000 0.0000 0.0000
Sc1 0.5000 0.2643 0.5000
I1 0.0000 0.5000 0.0000
O1 0.1962 0.3024 0.1877
O2 0.2772 0.5000 0.7138
O3 0.3359 0.0000 0.6384
```

Peak list (12 most intense, 10° ≤ 2θ ≤ 90°, in order of rising 2θ)
index, 2theta, intensity
0 1 0, 12.72, 17
1 0 0, 18.43, 41
1 0 -1, 26.01, 70
1 0 1, 26.36, 64
1 2 0, 31.74, 100
1 2 1, 37.08, 26
0 0 2, 37.37, 22
1 0 -2, 41.74, 14
2 2 -1, 49.62, 45
2 2 1, 50.02, 42
1 4 1, 59.79, 14
0 2 3, 63.85, 14

Copy entry 2 word for word.
Diffraction record for Pr2SmHoTm. The PXRD pattern is computed, not measured: it uses a cell relaxed with GGA-PBE and Cu Kα X-rays.
Intensities are scaled so that the largest is 100.

```
data_Pr2SmHoTm
_chemical_formula_sum 'Pr8 Sm4 Ho4 Tm4'
_cell_length_a 8.4901
_cell_length_b 11.5929
_cell_length_c 7.3283
_cell_angle_alpha 90.00
_cell_angle_beta 90.00
_cell_angle_gamma 90.00
_symmetry_space_group_name_H-M 'C m c m'
_symmetry_Int_Tables_number 63
_symmetry_space_group_name_Hall '-C 2c 2'
loop_
_atom_site_label
_atom_site_fract_x
_atom_site_fract_y
_atom_site_fract_z
Pr1 0.1952 0.0000 0.0000
Sm1 0.0000 0.2247 0.2500
Ho1 0.0000 0.2338 0.7500
Tm1 0.0000 0.4914 0.2500
```

Peak list (12 most intense, 10° ≤ 2θ ≤ 90°, in order of rising 2θ)
index, 2theta, intensity
2 0 0, 20.93, 20
2 2 0, 26.02, 45
1 1 2, 27.61, 31
0 2 2, 28.83, 48
0 4 0, 30.85, 59
2 0 2, 32.27, 100
3 1 0, 32.57, 28
1 3 2, 35.38, 46
3 3 0, 39.47, 33
2 4 2, 45.25, 69
0 4 4, 59.71, 18
3 7 0, 65.22, 28